For Pu2CdSi2Rh5, DFT lattice parameters and positions (PBE) gives the calculated powder XRD pattern in this record (a wavelength of 1.5418 Å).
Intensities are scaled so that the largest is 100.

Structural model:
```
Pu2CdSi2Rh5
1.0
9.8732 0.0000 0.0000
0.0000 9.8732 0.0000
0.0000 0.0000 3.5132
Pu Cd Si Rh
4 2 4 10
Direct
0.1758 0.3242 0.0000
0.3242 0.8242 0.0000
0.6758 0.1758 0.0000
0.8242 0.6758 0.0000
0.0000 0.0000 0.0000
0.5000 0.5000 0.0000
0.1230 0.6230 0.0000
0.3770 0.1230 0.0000
0.6230 0.8770 0.0000
0.8770 0.3770 0.0000
0.0000 0.5000 0.5000
0.0692 0.7822 0.5000
0.2178 0.0692 0.5000
0.2822 0.5692 0.5000
0.4308 0.2822 0.5000
0.5000 0.0000 0.5000
0.5692 0.7178 0.5000
0.7178 0.4308 0.5000
0.7822 0.9308 0.5000
0.9308 0.2178 0.5000
```

Largest 10 diffraction maxima, in order of falling intensity, 2θ = 10–90°:
two_theta  I/Imax
38.58  100
32.57  90
37.56  79
36.28  35
65.95  31
41.83  26
40.88  25
52.06  23
38.69  23
20.11  22

---

For AcY12Tm3, DFT lattice parameters and positions (PBE) gives the calculated powder XRD pattern in this record (a wavelength of 1.5418 Å).
Intensities are scaled so that the largest is 100.

Structural model:
```
AcY12Tm3
1.0
5.0637 0.0000 0.0000
0.0000 5.0637 0.0000
0.0000 0.0000 20.3075
Ac Y Tm
1 12 3
Direct
0.0000 0.0000 0.0000
0.0000 0.5000 0.1318
0.0000 0.5000 0.3772
0.0000 0.5000 0.6228
0.0000 0.5000 0.8682
0.5000 0.0000 0.1318
0.5000 0.0000 0.3772
0.5000 0.0000 0.6228
0.5000 0.0000 0.8682
0.5000 0.5000 0.0000
0.5000 0.5000 0.2551
0.5000 0.5000 0.5000
0.5000 0.5000 0.7449
0.0000 0.0000 0.2537
0.0000 0.0000 0.5000
0.0000 0.0000 0.7463
```

Largest 10 diffraction maxima, in order of falling intensity, 2θ = 10–90°:
two_theta  I/Imax
30.55  100
35.42  50
50.97  35
60.64  28
60.51  13
63.60  12
17.50  11
83.03  10
85.79  10
24.85  10

---

For Sm2AlPt4, DFT lattice parameters and positions (PBE) gives the calculated powder XRD pattern in this record (a wavelength of 1.5418 Å).
Intensities are scaled so that the largest is 100.

Structural model:
```
Sm2AlPt4
1.0
2.9139 -3.7667 0.0000
2.9139 3.7667 0.0000
-1.6834 0.0000 7.1441
Sm Al Pt
2 1 4
Direct
0.0796 0.0796 0.2722
0.9204 0.9204 0.7278
0.5000 0.5000 0.0000
0.0000 0.5000 0.0000
0.3896 0.3896 0.6484
0.5000 0.0000 0.0000
0.6104 0.6104 0.3516
```

Largest 10 diffraction maxima, in order of falling intensity, 2θ = 10–90°:
two_theta  I/Imax
26.76  100
39.45  90
34.61  75
35.62  57
36.67  53
37.78  42
39.78  37
61.45  35
48.33  32
62.17  24

---

For Tb4Ga3Pt, DFT lattice parameters and positions (PBE) gives the calculated powder XRD pattern in this record (a wavelength of 1.5418 Å).
Intensities are scaled so that the largest is 100.

Structural model:
```
Tb4Ga3Pt
1.0
3.9185 0.0000 0.0000
0.0000 4.3485 0.0000
0.0000 0.0000 11.1454
Tb Ga Pt
4 3 1
Direct
0.0000 0.0000 0.0000
0.0000 0.5000 0.2711
0.5000 0.0000 0.4776
0.5000 0.5000 0.7793
0.0000 0.0000 0.7054
0.0000 0.5000 0.5576
0.5000 0.5000 0.0519
0.5000 0.0000 0.2100
```

Largest 10 diffraction maxima, in order of falling intensity, 2θ = 10–90°:
two_theta  I/Imax
31.77  100
39.32  53
33.23  36
41.53  27
38.37  27
32.12  25
46.34  20
54.20  18
78.33  16
63.97  15

---

For CaCu12Ge7, DFT lattice parameters and positions (PBE) gives the calculated powder XRD pattern in this record (a wavelength of 1.5418 Å).
Intensities are scaled so that the largest is 100.

Structural model:
```
CaCu12Ge7
1.0
6.4070 3.6991 2.1211
-6.4070 3.6991 2.1211
0.0000 -7.3981 2.1211
Ca Cu Ge
1 12 7
Direct
0.0000 0.0000 0.0000
0.0000 0.2649 0.7351
0.0000 0.7351 0.2649
0.0647 0.4042 0.4042
0.2649 0.0000 0.7351
0.2649 0.7351 0.0000
0.4042 0.0647 0.4042
0.4042 0.4042 0.0647
0.5958 0.5958 0.9353
0.5958 0.9353 0.5958
0.7351 0.0000 0.2649
0.7351 0.2649 0.0000
0.9353 0.5958 0.5958
0.1892 0.1892 0.5380
0.1892 0.5380 0.1892
0.4620 0.8108 0.8108
0.5000 0.5000 0.5000
0.5380 0.1892 0.1892
0.8108 0.4620 0.8108
0.8108 0.8108 0.4620
```

Largest 10 diffraction maxima, in order of falling intensity, 2θ = 10–90°:
two_theta  I/Imax
42.32  100
43.27  66
45.61  63
38.07  44
42.62  43
35.41  37
35.29  35
40.79  30
61.63  25
52.23  19

---

For Rb3Np3PaTe8, DFT lattice parameters and positions (PBE) gives the calculated powder XRD pattern in this record (a wavelength of 1.5418 Å).
Intensities are scaled so that the largest is 100.

Structural model:
```
Rb3Np3PaTe8
1.0
9.0660 0.0000 0.0000
4.5313 7.8869 0.0000
4.5247 2.6270 8.6812
Rb Np Pa Te
3 3 1 8
Direct
0.0000 0.0000 0.0000
0.0000 0.5000 0.0000
0.5000 0.0000 0.0000
0.0000 0.5000 0.5000
0.5000 0.0000 0.5000
0.5000 0.5000 0.5000
0.0000 0.0000 0.5000
0.2283 0.2295 0.3025
0.2289 0.7384 0.3035
0.2607 0.7704 0.6975
0.2660 0.2676 0.7006
0.7340 0.7324 0.2994
0.7393 0.2296 0.3025
0.7711 0.2616 0.6965
0.7717 0.7705 0.6975
```

Largest 10 diffraction maxima, in order of falling intensity, 2θ = 10–90°:
two_theta  I/Imax
26.47  100
10.19  62
39.63  25
35.82  23
33.12  16
44.67  14
48.39  13
39.77  12
35.76  12
54.55  10